Calculated XRD peak list
Compound: DyW2O8
Radiation: Cu Kα
Structure: a cell relaxed with GGA+U
Peak positions follow from Bragg's law for the DFT cell and can differ from measured ones.

Most intense lines, 2θ = 10–90°, in order of rising 2θ:
Position (°2θ)  I/Imax
16.0  24
20.0  28
30.7  100
32.4  13
37.0  17
50.0  37
53.4  16
56.7  18
62.8  26
81.7  13

Structural model:
```
11
Lattice="-2.4274 2.4274 5.5234 2.4274 -2.4274 5.5234 2.4274 2.4274 -5.5234" Properties=species:S:1:pos:R:3 pbc="T T T"
Dy 0.0000 0.0000 0.0000
W 2.4274 0.0000 2.7617
W 0.0000 2.4274 2.7617
O 1.2041 1.2041 -1.5942
O 1.2234 -1.2234 3.9292
O 1.2041 1.2041 1.5942
O 1.2234 -1.2234 7.1176
O -1.2234 1.2234 3.9292
O 1.2234 1.2234 3.9292
O -1.2234 1.2234 7.1176
O 1.2234 1.2234 7.1176
```